Entry 1:
# Mn3CoO8
Theoretical powder diffractogram, copper Kα. Input: a DFT-relaxed cell (PBE+U, the Materials Project).

Most intense lines, 2θ from 10° to 90°, by intensity:
| d [Å] | Position (°2θ) | intensity |
| --- | --- | --- |
| 4.713 | 18.8 | 100.0 |
| 2.048 | 44.2 | 47.9 |
| 2.473 | 36.3 | 34.2 |
| 1.574 | 58.7 | 14.7 |
| 1.386 | 67.6 | 13.8 |
| 1.450 | 64.2 | 13.7 |

Structure:
```
data_Mn3CoO8
_chemical_formula_sum 'Mn3 Co1 O8'
_space_group_name_H-M_alt 'P 1'
_space_group_IT_number 1
_space_group_name_Hall 'P 1'
_cell_length_a 5.7816
_cell_length_b 5.7816
_cell_length_c 5.7816
_cell_angle_alpha 60.22
_cell_angle_beta 60.22
_cell_angle_gamma 60.22
loop_
_atom_site_label
_atom_site_fract_x
_atom_site_fract_y
_atom_site_fract_z
Mn1 0.0000 0.5000 0.5000
Mn2 0.5000 0.0000 0.5000
Mn3 0.5000 0.5000 0.0000
Co1 0.0000 0.0000 0.0000
O1 0.2315 0.2315 0.7390
O2 0.2315 0.7390 0.2315
O3 0.2610 0.7685 0.7685
O4 0.2651 0.2651 0.2651
O5 0.7349 0.7349 0.7349
O6 0.7390 0.2315 0.2315
O7 0.7685 0.2610 0.7685
O8 0.7685 0.7685 0.2610
```

Entry 2:
# LiCrCO4
Theoretical powder diffractogram, copper Kα. Input: a DFT-relaxed cell (PBE+U, the Materials Project).

Most intense lines, 2θ from 10° to 90°, by intensity:
| d [Å] | Position (°2θ) | intensity |
| --- | --- | --- |
| 6.619 | 13.4 | 100.0 |
| 2.589 | 34.6 | 60.1 |
| 2.594 | 34.6 | 39.6 |
| 4.191 | 21.2 | 38.3 |
| 2.949 | 30.3 | 35.7 |
| 4.669 | 19.0 | 30.8 |

Structure:
```
data_LiCrCO4
_chemical_formula_sum 'Li4 Cr4 C4 O16'
_space_group_name_H-M_alt 'P 1'
_space_group_IT_number 1
_space_group_name_Hall 'P 1'
_cell_length_a 9.3845
_cell_length_b 3.1049
_cell_length_c 9.3375
_cell_angle_alpha 90.00
_cell_angle_beta 90.00
_cell_angle_gamma 90.00
loop_
_atom_site_label
_atom_site_fract_x
_atom_site_fract_y
_atom_site_fract_z
Li1 0.0921 0.2500 0.1932
Li2 0.4079 0.7500 0.6932
Li3 0.5921 0.2500 0.3068
Li4 0.9079 0.7500 0.8068
Cr1 0.1203 0.2500 0.5600
Cr2 0.3797 0.7500 0.0600
Cr3 0.6203 0.2500 0.9400
Cr4 0.8797 0.7500 0.4400
C1 0.1669 0.2500 0.8683
C2 0.3331 0.7500 0.3683
C3 0.6669 0.2500 0.6317
C4 0.8331 0.7500 0.1317
O1 0.0003 0.2500 0.3867
O2 0.9997 0.7500 0.6133
O3 0.0340 0.2500 0.8729
O4 0.2401 0.2500 0.7491
O5 0.2413 0.2500 0.9927
O6 0.2587 0.7500 0.4927
O7 0.2599 0.7500 0.2491
O8 0.4660 0.7500 0.3729
O9 0.5003 0.2500 0.1133
O10 0.4997 0.7500 0.8867
O11 0.5340 0.2500 0.6271
O12 0.7401 0.2500 0.7509
O13 0.7413 0.2500 0.5073
O14 0.7587 0.7500 0.0073
O15 0.7599 0.7500 0.2509
O16 0.9660 0.7500 0.1271
```

Entry 3:
# InCuW2O8
Theoretical powder diffractogram, copper Kα. Input: a DFT-relaxed cell (PBE+U, the Materials Project).

Most intense lines, 2θ from 10° to 90°, by intensity:
| d [Å] | Position (°2θ) | intensity |
| --- | --- | --- |
| 3.070 | 29.1 | 100.0 |
| 2.983 | 30.0 | 89.6 |
| 3.766 | 23.6 | 51.9 |
| 2.557 | 35.1 | 38.5 |
| 2.540 | 35.3 | 29.3 |
| 1.829 | 49.8 | 28.0 |

Structure:
```
data_InCuW2O8
_chemical_formula_sum 'In2 Cu2 W4 O16'
_space_group_name_H-M_alt 'P 1'
_space_group_IT_number 1
_space_group_name_Hall 'P 1'
_cell_length_a 7.6755
_cell_length_b 7.6755
_cell_length_c 5.0839
_cell_angle_alpha 91.42
_cell_angle_beta 91.42
_cell_angle_gamma 100.94
loop_
_atom_site_label
_atom_site_fract_x
_atom_site_fract_y
_atom_site_fract_z
In1 0.1674 0.8326 0.7500
In2 0.8326 0.1674 0.2500
Cu1 0.3497 0.6503 0.2500
Cu2 0.6503 0.3497 0.7500
W1 0.1701 0.3407 0.7559
W2 0.3407 0.1701 0.2559
W3 0.6593 0.8299 0.7441
W4 0.8299 0.6593 0.2441
O1 0.0550 0.6890 0.3970
O2 0.0906 0.1969 0.0678
O3 0.1951 0.5671 0.9050
O4 0.1969 0.0906 0.5678
O5 0.3046 0.4050 0.4443
O6 0.3110 0.9450 0.1030
O7 0.4050 0.3046 0.9443
O8 0.4329 0.8049 0.5950
O9 0.5671 0.1951 0.4050
O10 0.5950 0.6954 0.0557
O11 0.6890 0.0550 0.8970
O12 0.6954 0.5950 0.5557
O13 0.8031 0.9094 0.4322
O14 0.8049 0.4329 0.0950
O15 0.9094 0.8031 0.9322
O16 0.9450 0.3110 0.6030
```